(1)
Theoretical X-ray diffraction stick pattern
Compound: Na3CoO3
Radiation: Cu Ka
Structure: a structure optimized by DFT (PBE+U)
No peak broadening, texture or thermal motion is included.

Main lines, by angle (10° ≤ 2θ ≤ 90°):
- 4.796 Å, 18.5°, I 30, hkl 2 0 0
- 3.916 Å, 22.7°, I 100, hkl 2 1 1
- 2.769 Å, 32.3°, I 20, hkl 2 2 2
- 2.563 Å, 35.0°, I 27, hkl 3 2 1
- 2.398 Å, 37.5°, I 57, hkl 4 0 0
- 2.261 Å, 39.9°, I 39, hkl 4 1 1
- 1.696 Å, 54.1°, I 26, hkl 4 4 0
- 1.305 Å, 72.4°, I 21, hkl 7 2 1

Cell and atoms:
```
data_Na3CoO3
_chemical_formula_sum 'Na24 Co8 O24'
_cell_length_a 9.591
_cell_length_b 9.591
_cell_length_c 9.591
_cell_angle_alpha 90.00
_cell_angle_beta 90.00
_cell_angle_gamma 90.00
_symmetry_space_group_name_H-M 'I -4 3 m'
_symmetry_Int_Tables_number 217
_symmetry_space_group_name_Hall 'I -4 2 3'
loop_
_atom_site_label
_atom_site_type_symbol
_atom_site_fract_x
_atom_site_fract_y
_atom_site_fract_z
_atom_site_occupancy
Na1 Na 0.106 0.382 0.382 1
Co1 Co 0.181 0.181 0.181 1
O1 O 0.124 0.124 0.349 1
```


(2)
Theoretical X-ray diffraction stick pattern
Compound: Zr6Fe2O
Radiation: Cu Ka
Structure: a structure optimized by DFT (PBE+U)
No peak broadening, texture or thermal motion is included.

Main lines, by angle (10° ≤ 2θ ≤ 90°):
- 2.710 Å, 33.1°, I 31, hkl 2 0 -3
- 2.613 Å, 34.3°, I 100, hkl 1 1 2
- 2.503 Å, 35.9°, I 65, hkl 3 1 0
- 2.443 Å, 36.8°, I 36, hkl 4 0 -2
- 2.429 Å, 37.0°, I 34, hkl 4 0 2
- 2.415 Å, 37.2°, I 59, hkl 3 1 1
- 2.297 Å, 39.2°, I 31, hkl 0 0 4
- 2.205 Å, 40.9°, I 31, hkl 1 1 3

Cell and atoms:
```
data_Zr6Fe2O
_chemical_formula_sum 'Zr12 Fe4 O2'
_cell_length_a 11.492
_cell_length_b 3.306
_cell_length_c 9.189
_cell_angle_alpha 90.00
_cell_angle_beta 90.36
_cell_angle_gamma 90.00
_symmetry_space_group_name_H-M 'C 1 2/m 1'
_symmetry_Int_Tables_number 12
loop_
_symmetry_equiv_pos_as_xyz
'x,y,z'
'-x,-y,-z'
'-x,y,-z'
'x,-y,z'
'x+1/2,y+1/2,z'
'-x+1/2,-y+1/2,-z'
'-x+1/2,y+1/2,-z'
'x+1/2,-y+1/2,z'
loop_
_atom_site_label
_atom_site_type_symbol
_atom_site_fract_x
_atom_site_fract_y
_atom_site_fract_z
_atom_site_occupancy
Zr1 Zr 0.047 0.000 0.252 1
Zr2 Zr 0.134 0.500 0.542 1
Zr3 Zr 0.134 0.500 0.956 1
Fe1 Fe 0.244 0.500 0.251 1
O1 O 0.000 0.000 0.500 1
```


(3)
Theoretical X-ray diffraction stick pattern
Compound: V2Co3Te3O16
Radiation: Cu Ka
Structure: a structure optimized by DFT (PBE+U)
No peak broadening, texture or thermal motion is included.

Main lines, by angle (10° ≤ 2θ ≤ 90°):
- 4.681 Å, 19.0°, I 25, hkl 2 0 -1
- 4.613 Å, 19.2°, I 100, hkl 0 0 2
- 4.579 Å, 19.4°, I 22, hkl 1 1 1
- 2.589 Å, 34.7°, I 20, hkl 4 0 -1
- 2.552 Å, 35.2°, I 23, hkl 4 0 1
- 2.545 Å, 35.3°, I 22, hkl 2 2 1
- 2.022 Å, 44.8°, I 19, hkl 2 2 -3
- 1.542 Å, 60.0°, I 17, hkl 6 2 0

Cell and atoms:
```
data_V2Co3Te3O16
_chemical_formula_sum 'V4 Co6 Te6 O32'
_cell_length_a 10.712
_cell_length_b 6.122
_cell_length_c 9.215
_cell_angle_alpha 90.00
_cell_angle_beta 91.47
_cell_angle_gamma 90.00
_symmetry_space_group_name_H-M 'C 1 m 1'
_symmetry_Int_Tables_number 8
loop_
_symmetry_equiv_pos_as_xyz
'x,y,z'
'x,-y,z'
'x+1/2,y+1/2,z'
'x+1/2,-y+1/2,z'
loop_
_atom_site_label
_atom_site_type_symbol
_atom_site_fract_x
_atom_site_fract_y
_atom_site_fract_z
_atom_site_occupancy
V1 V 0.000 0.000 0.000 1
V2 V 0.177 0.500 0.457 1
Co1 Co 0.031 0.500 0.757 1
Co2 Co 0.437 0.250 0.263 1
Te1 Te 0.186 0.000 0.251 1
Te2 Te 0.281 0.251 0.748 1
O1 O 0.032 0.000 0.360 1
O2 O 0.034 0.500 0.369 1
O3 O 0.099 0.206 0.112 1
O4 O 0.132 0.281 0.628 1
O5 O 0.203 0.000 0.855 1
O6 O 0.211 0.500 0.867 1
O7 O 0.261 0.255 0.361 1
O8 O 0.344 0.500 0.622 1
O9 O 0.348 0.000 0.162 1
O10 O 0.355 0.000 0.637 1
O11 O 0.376 0.500 0.111 1
O12 O 0.437 0.252 0.856 1
```